For Er3ScPb2S, DFT lattice parameters and positions (GGA-PBE) gives the simulated XRD peak list in this record (Cu Kα X-rays).
Kinematic intensities with the Lorentz-polarization factor, no thermal factor.

Atomic structure:
a b c (Å): 4.790 4.990 16.003
angles (deg): 90.00 90.00 90.00
Space group Immm (No. 71)
Asymmetric unit:
Er (0.000, 0.000, 0.000) [2 per cell]
Er (0.000, 0.500, 0.167) [4 per cell]
Sc (0.000, 0.000, 0.500) [2 per cell]
Pb (0.000, 0.500, 0.362) [4 per cell]
S (0.000, 0.500, 0.000) [2 per cell]

Peak list (10 most intense, 10 to 90 degrees two-theta, most intense first)
2.615 Å, 34.29 deg, intensity 100, hkl 1 1 4; 3.456 Å, 25.78 deg, intensity 61, hkl 1 1 0; 3.172 Å, 28.13 deg, intensity 53, hkl 1 1 2; 2.665 Å, 33.63 deg, intensity 51, hkl 0 0 6; 2.495 Å, 36.00 deg, intensity 40, hkl 0 2 0; 2.395 Å, 37.55 deg, intensity 36, hkl 2 0 0; 1.821 Å, 50.09 deg, intensity 33, hkl 0 2 6; 1.728 Å, 53.00 deg, intensity 26, hkl 2 2 0; 1.450 Å, 64.23 deg, intensity 18, hkl 2 2 6; 1.782 Å, 51.27 deg, intensity 18, hkl 2 0 6